# MgZrNi2Sb2
Computed X-ray diffraction stick pattern, Cu Kα (λ = 1.5418 Å). Input: a PBE-relaxed structure.

Structural model:
```
data_MgZrNi2Sb2
_chemical_formula_sum 'Mg4 Zr4 Ni8 Sb8'
_cell_length_a 6.1218
_cell_length_b 6.1218
_cell_length_c 12.2462
_cell_angle_alpha 90.00
_cell_angle_beta 90.00
_cell_angle_gamma 90.00
_space_group_name_H-M_alt 'I -4 2 d'
_space_group_IT_number 122
_space_group_name_Hall 'I -4 2bw'
loop_
_atom_site_label
_atom_site_type_symbol
_atom_site_fract_x
_atom_site_fract_y
_atom_site_fract_z
Mg1 Mg 0.0000 0.0000 0.0000
Zr1 Zr 0.0000 0.0000 0.5000
Ni1 Ni 0.2413 0.7500 0.6250
Sb1 Sb 0.0000 0.0000 0.2458
```

Peak list (10 most intense, 5 to 70 degrees two-theta, by angle)
d (Å), 2θ/deg, Rel. int.
5.476, 16.19, 68
3.535, 25.20, 345
3.396, 26.24, 33
3.061, 29.17, 294
2.165, 41.73, 1000
1.846, 49.37, 160
1.767, 51.72, 79
1.531, 60.49, 159
1.405, 66.58, 62
1.369, 68.55, 102

***

# Sm2MgNi9
Computed X-ray diffraction stick pattern, Cu Kα (λ = 1.5418 Å). Input: a PBE-relaxed structure.

Structural model:
```
data_Sm2MgNi9
_chemical_formula_sum 'Sm6 Mg3 Ni27'
_cell_length_a 4.9299
_cell_length_b 4.9299
_cell_length_c 24.4023
_cell_angle_alpha 90.00
_cell_angle_beta 90.00
_cell_angle_gamma 120.00
_space_group_name_H-M_alt 'R -3 m'
_space_group_IT_number 166
_space_group_name_Hall '-R 3 2"'
loop_
_atom_site_label
_atom_site_type_symbol
_atom_site_fract_x
_atom_site_fract_y
_atom_site_fract_z
Sm1 Sm 0.0000 0.0000 0.1358
Mg1 Mg 0.0000 0.0000 0.0000
Ni1 Ni 0.0000 0.0000 0.3328
Ni2 Ni 0.0000 0.0000 0.5000
Ni3 Ni 0.9998 0.4999 0.0803
```

Peak list (10 most intense, 5 to 70 degrees two-theta, by angle)
d (Å), 2θ/deg, Rel. int.
8.134, 10.88, 372
3.498, 25.46, 379
2.700, 33.18, 430
2.482, 36.19, 480
2.465, 36.45, 551
2.127, 42.51, 442
2.108, 42.90, 1000
2.015, 44.99, 368
1.969, 46.11, 470
1.956, 46.43, 549